Entry 1:
NaB2SBr: simulated PXRD pattern (Cu Kα), based on a crystal structure in Alexandria, relaxed with PBE.

Atomic structure:
abc: 5.0270 5.0270 4.9090
angles: 90.00 90.00 90.00
Space group P4/mmm (No. 123)
Asymmetric unit:
Na  0.0000  0.0000  0.0000 [1 per cell]
B  0.0000  0.5000  0.0000 [2 per cell]
S  0.5000  0.5000  0.5000 [1 per cell]
Br  0.0000  0.0000  0.5000 [1 per cell]

Largest 10 diffraction maxima, in order of rising 2θ, 10 to 80 degrees two-theta:
Position (°2θ), d [Å], Rel. int.
17.64, 5.027, 78
18.07, 4.909, 39
25.05, 3.555, 100
31.06, 2.879, 88
35.72, 2.514, 62
36.61, 2.455, 29
40.11, 2.248, 20
44.88, 2.020, 41
52.08, 1.756, 39
61.29, 1.512, 22

---

Entry 2:
Rb2NbBBr6: simulated PXRD pattern (Cu Kα), based on a crystal structure in Alexandria, relaxed with PBE.

Atomic structure:
abc: 7.6295 7.6295 10.7694
angles: 90.00 90.00 90.00
Space group I4/mmm (No. 139)
Asymmetric unit:
Rb  0.0000  0.5000  0.2500 [4 per cell]
Nb  0.0000  0.0000  0.0000 [2 per cell]
B  0.0000  0.0000  0.5000 [2 per cell]
Br  0.0000  0.0000  0.2474 [4 per cell]
Br  0.2470  0.2470  0.0000 [8 per cell]

Largest 10 diffraction maxima, in order of rising 2θ, 10 to 80 degrees two-theta:
Position (°2θ), d [Å], Rel. int.
14.23, 6.226, 15
23.33, 3.812, 10
28.68, 3.113, 100
33.23, 2.696, 95
47.71, 1.906, 67
56.62, 1.626, 42
59.38, 1.556, 23
77.11, 1.237, 17
79.46, 1.206, 20
79.59, 1.205, 10

---

Entry 3:
NbBSe2Br: simulated PXRD pattern (Cu Kα), based on a crystal structure in Alexandria, relaxed with PBE.

Atomic structure:
abc: 5.0440 5.0440 5.2143
angles: 90.00 90.00 90.00
Space group P4/mmm (No. 123)
Asymmetric unit:
Nb  0.0000  0.0000  0.0000 [1 per cell]
B  0.5000  0.5000  0.5000 [1 per cell]
Se  0.0000  0.5000  0.0000 [2 per cell]
Br  0.0000  0.0000  0.5000 [1 per cell]

Largest 10 diffraction maxima, in order of rising 2θ, 10 to 80 degrees two-theta:
Position (°2θ), d [Å], Rel. int.
17.00, 5.214, 51
17.58, 5.044, 100
30.36, 2.944, 43
34.40, 2.607, 39
35.60, 2.522, 70
38.88, 2.316, 27
39.97, 2.256, 25
50.34, 1.813, 51
51.23, 1.783, 24
63.17, 1.472, 25